1.
Structure and simulated powder X-ray diffraction pattern of Cu3BiS3 (DFT lattice parameters and positions (GGA-PBE); Cu Kα (weighted mean of Kα1 and Kα2)).
Intensities are scaled so that the largest is 100.

Unit cell a=6.8185 b=7.6515 c=10.4936 alpha=90.00 beta=90.00 gamma=90.00
Sites, in units of the cell vectors:
1 Cu 0.0263 0.0515 0.4539
2 Cu 0.0730 0.7004 0.4019
3 Cu 0.1423 0.8551 0.0889
4 Cu 0.3577 0.1449 0.5889
5 Cu 0.4270 0.2996 0.9019
6 Cu 0.4737 0.9485 0.9539
7 Cu 0.5263 0.4485 0.5461
8 Cu 0.5730 0.7996 0.5981
9 Cu 0.6423 0.6449 0.9111
10 Cu 0.8577 0.3551 0.4111
11 Cu 0.9270 0.2004 0.0981
12 Cu 0.9737 0.5515 0.0461
13 Bi 0.1338 0.6847 0.7391
14 Bi 0.3662 0.3153 0.2391
15 Bi 0.6338 0.8153 0.2609
16 Bi 0.8662 0.1847 0.7609
17 S 0.0784 0.3078 0.5719
18 S 0.0985 0.3245 0.9328
19 S 0.1067 0.0573 0.2452
20 S 0.3933 0.9427 0.7452
21 S 0.4015 0.6755 0.4328
22 S 0.4216 0.6922 0.0719
23 S 0.5784 0.1922 0.4281
24 S 0.5985 0.1755 0.0672
25 S 0.6067 0.4427 0.7548
26 S 0.8933 0.5573 0.2548
27 S 0.9015 0.8245 0.5672
28 S 0.9216 0.8078 0.9281

Principal peaks in the range 2θ = 15–90°, most intense first:
- 31.0 deg, I 100.0, hkl 1 1 3
- 28.7 deg, I 87.3, hkl 2 1 0
- 19.4 deg, I 45.2, hkl 1 1 1
- 28.1 deg, I 41.3, hkl 1 2 1
- 33.5 deg, I 40.2, hkl 2 1 2
- 45.2 deg, I 34.9, hkl 2 3 1
- 29.9 deg, I 34.5, hkl 2 1 1
- 49.3 deg, I 26.8, hkl 3 1 3

2.
Structure and simulated powder X-ray diffraction pattern of CuBi3S4 (DFT lattice parameters and positions (GGA-PBE); Cu Kα (weighted mean of Kα1 and Kα2)).
Intensities are scaled so that the largest is 100.

Unit cell a=8.5266 b=8.6317 c=5.9402 alpha=90.00 beta=90.00 gamma=90.00
Sites, in units of the cell vectors:
1 Cu 0.0000 0.1947 0.0000
2 Cu 0.5000 0.8053 0.5000
3 Bi 0.0000 0.9037 0.4572
4 Bi 0.1869 0.6452 0.9753
5 Bi 0.3131 0.3548 0.4753
6 Bi 0.5000 0.0963 0.9572
7 Bi 0.6869 0.3548 0.4753
8 Bi 0.8131 0.6452 0.9753
9 S 0.0000 0.1941 0.3849
10 S 0.0000 0.9327 0.8942
11 S 0.2335 0.3240 0.9112
12 S 0.2665 0.6760 0.4112
13 S 0.5000 0.0673 0.3942
14 S 0.5000 0.8059 0.8849
15 S 0.7335 0.6760 0.4112
16 S 0.7665 0.3240 0.9112

Principal peaks in the range 2θ = 15–90°, most intense first:
- 25.5 deg, I 100.0, hkl 0 2 1
- 23.3 deg, I 84.8, hkl 2 1 0
- 30.1 deg, I 67.2, hkl 0 0 2
- 20.9 deg, I 56.2, hkl 1 1 1
- 27.8 deg, I 56.1, hkl 2 1 1
- 35.0 deg, I 44.5, hkl 3 0 1
- 38.4 deg, I 41.0, hkl 2 1 2
- 37.9 deg, I 31.9, hkl 3 2 0